Computed powder diffraction line list
Compound: Bi3Au
Radiation: Cu Kα, 1.54184 Å
Structure: a DFT-relaxed cell (GGA-PBE, the Materials Project)
Neutral-atom scattering factors, no anomalous dispersion.

Structural model:
```
Bi3Au
1.0
4.826 0.000 0.000
0.000 4.826 0.000
0.000 0.000 4.826
Bi Au
3 1
direct
0.000 0.000 0.500
0.000 0.500 0.000
0.500 0.000 0.000
0.500 0.500 0.500
```

Peak list (7 most intense, 2θ from 10° to 90°, most intense first)
| d (Å) | intensity |
| --- | --- |
| 2.787 | 100 |
| 2.413 | 51 |
| 1.455 | 43 |
| 1.706 | 36 |
| 1.107 | 20 |
| 1.393 | 13 |
| 1.207 | 6 |